# 1
The following is a calculated powder diffractogram of K4PrU3Se8. It was derived from a PBE-relaxed structure, using CuKα.
Lines closer than 0.1° are merged.

Top 6 peaks for 2θ from 10° to 90°, by intensity:
2theta	d_spacing	Rel. int.
28.7	3.114	100
11.4	7.744	70
39.5	2.282	37
42.4	2.130	36
36.4	2.467	22
24.4	3.643	21

Atomic structure:
```
K4PrU3Se8
1.0
4.2598 2.4594 7.7436
-4.2598 2.4594 7.7436
0.0000 -4.9188 7.7436
K Pr U Se
4 1 3 8
Cartesian
0.0000 0.0000 0.0000
-2.1299 -1.2297 7.7436
-2.1299 1.2297 15.4873
0.0000 2.4594 7.7436
0.0000 0.0000 11.6155
-4.2598 0.0000 11.6154
-2.1299 1.2297 3.8718
2.1299 1.2297 3.8718
-2.1787 -1.2579 13.2475
0.0000 0.0000 5.4709
0.0000 -2.5157 9.9834
-2.1787 1.2579 9.9834
2.1787 -1.2579 13.2475
0.0000 2.5157 13.2475
0.0000 0.0000 17.7600
2.1787 1.2578 9.9835
```

---

# 2
The following is a calculated powder diffractogram of Rb2In. It was derived from a PBE-relaxed structure, using CuKα.
Lines closer than 0.1° are merged.

Top 6 peaks for 2θ from 10° to 90°, by intensity:
2theta	d_spacing	Rel. int.
25.4	3.509	100
28.0	3.189	50
48.0	1.897	34
33.3	2.690	30
10.6	8.381	27
40.0	2.255	19

Atomic structure:
```
Rb2In
1.0
-2.2549 2.2549 8.3812
2.2549 -2.2549 8.3812
2.2549 2.2549 -8.3812
Rb In
2 1
Cartesian
0.0000 0.0000 2.2384
0.0000 0.0000 14.5241
0.0000 0.0000 8.3812
```

---

# 3
The following is a calculated powder diffractogram of Pa2GeMoN6. It was derived from a PBE-relaxed structure, using CuKα.
Lines closer than 0.1° are merged.

Top 6 peaks for 2θ from 10° to 90°, by intensity:
2theta	d_spacing	Rel. int.
30.1	2.966	100
33.8	2.649	37
58.3	1.584	32
18.3	4.853	24
51.0	1.789	23
48.6	1.873	18

Atomic structure:
```
Pa2GeMoN6
1.0
5.2982 0.0000 0.0000
0.0000 5.2982 0.0000
0.0000 0.0000 4.8533
Pa Ge Mo N
2 1 1 6
Cartesian
0.0000 2.6491 0.0000
2.6491 0.0000 0.0000
0.0000 0.0000 2.8102
2.6491 2.6491 2.8157
0.0000 0.0000 0.9792
1.3111 1.3111 3.5824
1.3111 3.9871 3.5824
2.6491 2.6491 0.9752
3.9871 1.3111 3.5824
3.9871 3.9871 3.5824
```

---

# 4
The following is a calculated powder diffractogram of La4Er2Th. It was derived from a PBE-relaxed structure, using CuKα.
Lines closer than 0.1° are merged.

Top 6 peaks for 2θ from 10° to 90°, by intensity:
2theta	d_spacing	Rel. int.
28.7	3.109	100
59.5	1.555	73
30.3	2.950	59
33.9	2.644	57
30.8	2.906	54
50.9	1.795	50

Atomic structure:
```
La4Er2Th
1.0
1.7951 1.0364 21.7674
-1.7951 1.0364 21.7674
0.0000 -2.0728 21.7674
La Er Th
4 2 1
Cartesian
0.0000 0.0000 9.1810
0.0000 0.0000 18.8709
0.0000 0.0000 46.4312
0.0000 0.0000 56.1211
0.0000 0.0000 15.4319
0.0000 0.0000 49.8702
0.0000 0.0000 0.0000
```

---

# 5
The following is a calculated powder diffractogram of La4BrCl3O4. It was derived from a PBE-relaxed structure, using CuKα.
Lines closer than 0.1° are merged.

Top 6 peaks for 2θ from 10° to 90°, by intensity:
2theta	d_spacing	Rel. int.
33.0	2.714	100
30.6	2.919	65
24.9	3.581	54
56.0	1.643	42
43.9	2.064	34
12.3	7.204	28

Atomic structure:
```
La4BrCl3O4
1.0
4.1276 0.0000 0.0000
0.0000 4.1276 0.0000
0.0000 0.0000 14.4087
La Br Cl O
4 1 3 4
Cartesian
0.0000 0.0000 0.0000
0.0000 0.0000 6.9896
2.0638 2.0638 2.4271
2.0638 2.0638 9.4140
2.0638 2.0638 12.8468
0.0000 0.0000 3.7692
0.0000 0.0000 10.7803
2.0638 2.0638 5.6002
0.0000 2.0638 1.2022
0.0000 2.0638 8.1911
2.0638 0.0000 1.2022
2.0638 0.0000 8.1911
```

---

# 6
The following is a calculated powder diffractogram of Rb3Sm2O4. It was derived from a PBE-relaxed structure, using CuKα.
Lines closer than 0.1° are merged.

Top 6 peaks for 2θ from 10° to 90°, by intensity:
2theta	d_spacing	Rel. int.
31.3	2.861	100
28.1	3.173	98
25.9	3.446	51
28.0	3.187	46
33.2	2.701	46
17.7	5.017	37

Atomic structure:
```
Rb3Sm2O4
1.0
6.6534 -1.9603 0.0000
6.6534 1.9603 0.0000
-5.8821 0.0000 8.5252
Rb Sm O
3 2 4
Cartesian
0.0000 0.0000 0.0000
-2.1232 0.0000 6.9969
9.5478 0.0000 1.5283
1.4952 0.0000 5.3389
5.9295 0.0000 3.1863
0.4243 0.0000 3.0473
4.8851 0.0000 1.3110
2.5396 0.0000 7.2141
7.0003 0.0000 5.4779
```

---

# 7
The following is a calculated powder diffractogram of Na3InHg. It was derived from a PBE-relaxed structure, using CuKα.
Lines closer than 0.1° are merged.

Top 6 peaks for 2θ from 10° to 90°, by intensity:
2theta	d_spacing	Rel. int.
19.6	4.540	100
14.9	5.933	73
35.8	2.510	38
13.8	6.413	34
38.3	2.353	34
26.0	3.421	28

Atomic structure:
```
Na3InHg
1.0
5.7836 -4.5435 0.0000
5.7836 4.5435 0.0000
-4.8905 0.0000 6.1459
Na In Hg
6 2 2
Cartesian
-0.7890 0.0000 1.7916
-0.5734 1.7099 5.0067
-0.5734 -1.7099 5.0067
7.2501 1.7099 1.1392
7.2501 -1.7099 1.1392
7.4657 0.0000 4.3543
1.8986 0.0000 3.6684
4.7781 0.0000 2.4775
2.4489 0.0000 0.7089
4.2277 0.0000 5.4370
```

---

# 8
The following is a calculated powder diffractogram of Be4Cu2Pd3. It was derived from a PBE-relaxed structure, using CuKα.
Lines closer than 0.1° are merged.

Top 6 peaks for 2θ from 10° to 90°, by intensity:
2theta	d_spacing	Rel. int.
35.5	2.526	100
45.7	1.986	88
28.6	3.123	78
45.1	2.012	76
80.7	1.191	25
84.0	1.152	24

Atomic structure:
```
Be4Cu2Pd3
1.0
3.9728 0.0000 0.0000
-1.9864 3.4406 0.0000
0.0000 0.0000 7.4383
Be Cu Pd
4 2 3
Cartesian
0.0000 0.0000 1.2456
0.0000 0.0000 6.1927
0.0000 2.2937 4.4548
1.9864 1.1468 2.9836
0.0000 2.2937 2.1468
1.9864 1.1468 5.2915
0.0000 0.0000 3.7192
0.0000 2.2937 6.7141
1.9864 1.1468 0.7242
```

---

# 9
The following is a calculated powder diffractogram of Sr3BiI2. It was derived from a PBE-relaxed structure, using CuKα.
Lines closer than 0.1° are merged.

Top 6 peaks for 2θ from 10° to 90°, by intensity:
2theta	d_spacing	Rel. int.
26.0	3.427	100
37.4	2.406	77
26.4	3.379	49
61.1	1.516	27
45.7	1.986	22
36.6	2.455	21

Atomic structure:
```
Sr3BiI2
1.0
-2.4553 3.3792 7.1779
2.4553 -3.3792 7.1779
2.4553 3.3792 -7.1779
Sr Bi I
3 1 2
Cartesian
0.0000 0.0000 0.0000
0.0000 0.0000 4.9881
0.0000 0.0000 9.3677
0.0000 3.3792 0.0000
2.4553 0.0000 2.4576
0.0000 3.3792 4.7203
```

---

# 10
The following is a calculated powder diffractogram of HoTm2Cd5. It was derived from a PBE-relaxed structure, using CuKα.
Lines closer than 0.1° are merged.

Top 6 peaks for 2θ from 10° to 90°, by intensity:
2theta	d_spacing	Rel. int.
34.7	2.587	100
35.2	2.549	49
62.8	1.479	35
50.7	1.802	17
61.8	1.501	17
73.2	1.294	10

Atomic structure:
```
HoTm2Cd5
1.0
-2.5485 2.5485 7.4313
2.5485 -2.5485 7.4313
2.5485 2.5485 -7.4313
Ho Tm Cd
1 2 5
Cartesian
0.0000 0.0000 0.0000
0.0000 0.0000 3.8524
0.0000 0.0000 11.0101
2.5485 0.0000 1.8061
2.5485 0.0000 5.6251
0.0000 0.0000 7.4313
0.0000 2.5485 1.8061
0.0000 2.5485 5.6251
```